Diffraction record for CrP3O9. The powder XRD pattern is computed, not measured: it uses a crystal structure in Alexandria, relaxed with GGA+U and Cu Kα X-rays.
Neutral-atom scattering factors, no anomalous dispersion.

Atomic structure:
a b c (Å): 8.439 8.480 9.177
angles (deg): 90.00 90.00 90.00
Space group P2_12_12_1 (No. 19)
Symmetry-distinct sites (fractional):
Cr  0.125  0.098  0.138 (multiplicity 4)
P  0.070  0.727  0.082 (multiplicity 4)
P  0.073  0.947  0.836 (multiplicity 4)
P  0.215  0.560  0.555 (multiplicity 4)
O  0.019  0.788  0.922 (multiplicity 4)
O  0.064  0.137  0.349 (multiplicity 4)
O  0.099  0.526  0.693 (multiplicity 4)
O  0.112  0.594  0.423 (multiplicity 4)
O  0.136  0.863  0.168 (multiplicity 4)
O  0.142  0.903  0.691 (multiplicity 4)
O  0.156  0.329  0.099 (multiplicity 4)
O  0.171  0.053  0.932 (multiplicity 4)
O  0.208  0.610  0.031 (multiplicity 4)

The 12 most intense peaks (2θ = 10–80°), in order of rising 2θ:
2theta	d/Å	I_rel	hkl
17.7	5.011	1000	1 1 1
21.0	4.240	149	0 2 0
22.0	4.032	603	1 0 2
23.2	3.841	747	2 0 1
23.5	3.786	146	1 2 0
24.4	3.641	385	1 1 2
25.5	3.497	539	2 1 1
32.9	2.723	161	1 1 3
33.2	2.701	281	0 3 1
33.6	2.670	202	3 1 0
34.9	2.573	180	1 3 1
46.3	1.961	140	2 1 4